Starting from the GGA+U geometry in the Materials Project, the powder X-ray diffraction pattern of Li2Mn3O6 was calculated for a wavelength of 1.5418 Å.
Peak positions follow from Bragg's law for the DFT cell and can differ from measured ones.

Cell and atoms:
```
data_Li2Mn3O6
_chemical_formula_sum 'Li8 Mn12 O24'
_cell_length_a 9.1404
_cell_length_b 5.0223
_cell_length_c 10.8327
_cell_angle_alpha 90.00
_cell_angle_beta 111.62
_cell_angle_gamma 90.00
_symmetry_space_group_name_H-M 'C 1 c 1'
_symmetry_Int_Tables_number 9
_symmetry_space_group_name_Hall 'C -2yc'
loop_
_atom_site_label
_atom_site_type_symbol
_atom_site_fract_x
_atom_site_fract_y
_atom_site_fract_z
Li1 Li 0.0000 0.0711 0.0000
Li2 Li 0.1692 0.4134 0.4984
Mn1 Mn 0.1034 0.4236 0.2371
Mn2 Mn 0.2745 0.0769 0.7508
Mn3 Mn 0.4391 0.4239 0.2342
O1 O 0.0808 0.2508 0.6325
O2 O 0.1321 0.1189 0.3498
O3 O 0.2194 0.2561 0.1407
O4 O 0.3019 0.4117 0.8486
O5 O 0.4076 0.2629 0.6278
O6 O 0.4854 0.0944 0.3375
```

The 6 most intense peaks (2θ from 5° to 70°), by angle:
17.61 deg, I 100, hkl 0 0 2; 34.99 deg, I 14, hkl 3 1 -2; 36.42 deg, I 14, hkl 3 1 0; 42.27 deg, I 17, hkl 3 1 -4; 45.09 deg, I 13, hkl 0 2 3; 45.86 deg, I 12, hkl 3 1 2